Theoretical powder diffractogram
Compound: Li4Cr2Ni3Sb3O16
Radiation: copper Kα
Structure: a cell relaxed with PBE+U
Neutral-atom scattering factors, no anomalous dispersion.

Peak list (10 most intense, 2θ = 10–80°, in order of falling intensity)
- 2θ = 18.6°, I 100
- 2θ = 35.7°, I 49
- 2θ = 35.4°, I 45
- 2θ = 19.2°, I 38
- 2θ = 19.5°, I 34
- 2θ = 35.1°, I 30
- 2θ = 19.0°, I 30
- 2θ = 44.4°, I 28
- 2θ = 61.1°, I 28
- 2θ = 45.1°, I 22

Cell and atoms:
Cell lengths 6.0709, 6.0709, 9.5668 Å; angles 91.55, 91.55, 59.65 degrees
Element x y z (fractional)
Li1 0.0000 0.0000 0.0000
Li2 0.0808 0.0808 0.5427
Li3 0.3335 0.3335 0.6285
Li4 0.6641 0.6641 0.1030
Cr1 0.3156 0.3156 0.0093
Cr2 0.6463 0.6463 0.5270
Ni1 0.1602 0.1602 0.2849
Ni2 0.3300 0.8153 0.7928
Ni3 0.8153 0.3300 0.7928
Sb1 0.1574 0.6551 0.2953
Sb2 0.6551 0.1574 0.2953
Sb3 0.8187 0.8187 0.7888
O1 0.0334 0.4808 0.1627
O2 0.1470 0.6544 0.9087
O3 0.1594 0.1594 0.9117
O4 0.3126 0.8239 0.4060
O5 0.3282 0.3282 0.4076
O6 0.4751 0.4751 0.1697
O7 0.4808 0.0334 0.1627
O8 0.5095 0.9546 0.6561
O9 0.5119 0.5119 0.6607
O10 0.6544 0.1470 0.9087
O11 0.6611 0.6611 0.8998
O12 0.8228 0.8228 0.3988
O13 0.8239 0.3126 0.4060
O14 0.9546 0.5095 0.6561
O15 0.9855 0.9855 0.1885
O16 0.9860 0.9860 0.6986